For TaPS, a DFT-relaxed cell (GGA-PBE, the Materials Project) gives the calculated X-ray diffraction stick pattern in this record (Cu Kα (λ = 1.5418 Å)).
Lines closer than 0.1° are merged.

Main lines, by angle (2θ = 10–90°):
| hkl | d [Å] | 2θ (°) | I_rel |
| --- | --- | --- | --- |
| 0 1 1 | 4.409 | 20.14 | 100 |
| 1 0 1 | 3.319 | 26.86 | 39 |
| 1 1 0 | 2.793 | 32.05 | 50 |
| 1 0 3 | 2.608 | 34.38 | 57 |
| 1 1 4 | 2.039 | 44.43 | 72 |
| 1 2 1 | 1.930 | 47.09 | 43 |

Structure:
Unit cell a=3.455 b=4.744 c=11.933 alpha=90.00 beta=90.00 gamma=90.00
Positions (direct):
Ta: 0.000 0.000 0.122
Ta: 0.000 0.000 0.878
Ta: 0.500 0.500 0.378
Ta: 0.500 0.500 0.622
P: 0.000 0.236 0.500
P: 0.000 0.764 0.500
P: 0.500 0.264 0.000
P: 0.500 0.736 0.000
S: 0.000 0.500 0.213
S: 0.000 0.500 0.787
S: 0.500 0.000 0.287
S: 0.500 0.000 0.713